# 1
Starting from the GGA-PBE geometry in Alexandria, the powder diffraction line list of Th5BC8 was calculated for copper Kα.
No peak broadening, texture or thermal motion is included.

Structure:
```
data_Th5BC8
_chemical_formula_sum 'Th5 B1 C8'
_cell_length_a 6.8223
_cell_length_b 6.8223
_cell_length_c 6.8223
_cell_angle_alpha 121.46
_cell_angle_beta 121.46
_cell_angle_gamma 87.49
_space_group_name_H-M_alt 'P 1'
_space_group_IT_number 1
_space_group_name_Hall 'P 1'
loop_
_atom_site_label
_atom_site_type_symbol
_atom_site_fract_x
_atom_site_fract_y
_atom_site_fract_z
_atom_site_occupancy
Th1 Th 0.0000 0.0000 0.0000 1
Th2 Th 0.1382 0.4992 0.9021 1
Th3 Th 0.5008 0.4029 0.6389 1
Th4 Th 0.5971 0.2361 0.0979 1
Th5 Th 0.7639 0.8618 0.3611 1
B1 B 0.2500 0.7500 0.5000 1
C1 C 0.0676 0.1454 0.4389 1
C2 C 0.2284 0.0771 0.6220 1
C3 C 0.3714 0.9324 0.0778 1
C4 C 0.3936 0.7716 0.8487 1
C5 C 0.4550 0.6064 0.3780 1
C6 C 0.7064 0.6286 0.5611 1
C7 C 0.8546 0.2936 0.9222 1
C8 C 0.9229 0.5450 0.1513 1
```

Peak list (10 most intense, 10° ≤ 2θ ≤ 80°, in order of rising 2θ)
- 2θ 26.15, I 70
- 2θ 30.32, I 38
- 2θ 31.33, I 100
- 2θ 32.41, I 21
- 2θ 40.86, I 26
- 2θ 41.64, I 19
- 2θ 42.87, I 19
- 2θ 45.78, I 22
- 2θ 57.13, I 22
- 2θ 57.51, I 21

---

# 2
Starting from the GGA-PBE geometry in Alexandria, the powder diffraction line list of Th2B2C3 was calculated for copper Kα.
No peak broadening, texture or thermal motion is included.

Structure:
```
data_Th2B2C3
_chemical_formula_sum 'Th4 B4 C6'
_cell_length_a 13.2685
_cell_length_b 3.6601
_cell_length_c 3.9972
_cell_angle_alpha 90.00
_cell_angle_beta 98.38
_cell_angle_gamma 90.00
_space_group_name_H-M_alt 'P 1'
_space_group_IT_number 1
_space_group_name_Hall 'P 1'
loop_
_atom_site_label
_atom_site_type_symbol
_atom_site_fract_x
_atom_site_fract_y
_atom_site_fract_z
_atom_site_occupancy
Th1 Th 0.1434 0.0000 0.2115 1
Th2 Th 0.3566 0.5000 0.7885 1
Th3 Th 0.6434 0.5000 0.2115 1
Th4 Th 0.8566 0.0000 0.7885 1
B1 B 0.0512 0.5000 0.6914 1
B2 B 0.4488 0.0000 0.3086 1
B3 B 0.5512 0.0000 0.6914 1
B4 B 0.9488 0.5000 0.3086 1
C1 C 0.0000 0.5000 0.0000 1
C2 C 0.1668 0.5000 0.6852 1
C3 C 0.3332 0.0000 0.3148 1
C4 C 0.5000 0.0000 0.0000 1
C5 C 0.6668 0.0000 0.6852 1
C6 C 0.8332 0.5000 0.3148 1
```

Peak list (10 most intense, 10° ≤ 2θ ≤ 80°, in order of rising 2θ)
- 2θ 24.53, I 85
- 2θ 25.26, I 61
- 2θ 27.17, I 72
- 2θ 27.99, I 71
- 2θ 31.88, I 100
- 2θ 33.38, I 100
- 2θ 34.75, I 43
- 2θ 41.14, I 29
- 2θ 45.90, I 78
- 2θ 58.13, I 30

---

# 3
Starting from the GGA-PBE geometry in Alexandria, the powder diffraction line list of Th2B3C4 was calculated for copper Kα.
No peak broadening, texture or thermal motion is included.

Structure:
```
data_Th2B3C4
_chemical_formula_sum 'Th4 B6 C8'
_cell_length_a 6.4684
_cell_length_b 6.4684
_cell_length_c 6.1567
_cell_angle_alpha 90.00
_cell_angle_beta 90.00
_cell_angle_gamma 125.15
_space_group_name_H-M_alt 'P 1'
_space_group_IT_number 1
_space_group_name_Hall 'P 1'
loop_
_atom_site_label
_atom_site_type_symbol
_atom_site_fract_x
_atom_site_fract_y
_atom_site_fract_z
_atom_site_occupancy
Th1 Th 0.1521 0.8479 0.8893 1
Th2 Th 0.3479 0.6521 0.3893 1
Th3 Th 0.6521 0.3479 0.6107 1
Th4 Th 0.8479 0.1521 0.1107 1
B1 B 0.0000 0.0000 0.5000 1
B2 B 0.1057 0.3943 0.7500 1
B3 B 0.3943 0.1057 0.2500 1
B4 B 0.5000 0.5000 0.0000 1
B5 B 0.6057 0.8943 0.7500 1
B6 B 0.8943 0.6057 0.2500 1
C1 C 0.1378 0.8622 0.4430 1
C2 C 0.2363 0.2637 0.7500 1
C3 C 0.2637 0.2363 0.2500 1
C4 C 0.3622 0.6378 0.9430 1
C5 C 0.6378 0.3622 0.0570 1
C6 C 0.7363 0.7637 0.7500 1
C7 C 0.7637 0.7363 0.2500 1
C8 C 0.8622 0.1378 0.5570 1
```

Peak list (10 most intense, 10° ≤ 2θ ≤ 80°, in order of rising 2θ)
- 2θ 21.16, I 65
- 2θ 22.16, I 61
- 2θ 29.99, I 47
- 2θ 31.16, I 28
- 2θ 31.35, I 91
- 2θ 33.69, I 100
- 2θ 37.00, I 45
- 2θ 43.79, I 24
- 2θ 52.00, I 44
- 2θ 55.65, I 24

---

# 4
Starting from the GGA-PBE geometry in Alexandria, the powder diffraction line list of ThB3C2 was calculated for copper Kα.
No peak broadening, texture or thermal motion is included.

Structure:
```
data_ThB3C2
_chemical_formula_sum 'Th2 B6 C4'
_cell_length_a 6.9287
_cell_length_b 6.9287
_cell_length_c 6.8809
_cell_angle_alpha 119.49
_cell_angle_beta 119.49
_cell_angle_gamma 24.57
_space_group_name_H-M_alt 'P 1'
_space_group_IT_number 1
_space_group_name_Hall 'P 1'
loop_
_atom_site_label
_atom_site_type_symbol
_atom_site_fract_x
_atom_site_fract_y
_atom_site_fract_z
_atom_site_occupancy
Th1 Th 0.1527 0.1527 0.0844 1
Th2 Th 0.8473 0.8473 0.9156 1
B1 B 0.0647 0.0647 0.3692 1
B2 B 0.2208 0.2208 0.5189 1
B3 B 0.3889 0.3889 0.2910 1
B4 B 0.6111 0.6111 0.7090 1
B5 B 0.7792 0.7792 0.4811 1
B6 B 0.9353 0.9353 0.6308 1
C1 C 0.1518 0.1518 0.6572 1
C2 C 0.4992 0.4992 0.7359 1
C3 C 0.5008 0.5008 0.2641 1
C4 C 0.8482 0.8482 0.3428 1
```

Peak list (10 most intense, 10° ≤ 2θ ≤ 80°, in order of rising 2θ)
- 2θ 14.91, I 100
- 2θ 26.22, I 23
- 2θ 26.33, I 43
- 2θ 30.21, I 33
- 2θ 31.28, I 20
- 2θ 33.05, I 42
- 2θ 38.27, I 41
- 2θ 40.04, I 24
- 2θ 41.02, I 38
- 2θ 45.61, I 26

---

# 5
Starting from the GGA-PBE geometry in Alexandria, the powder diffraction line list of Th3B2C3 was calculated for copper Kα.
No peak broadening, texture or thermal motion is included.

Structure:
```
data_Th3B2C3
_chemical_formula_sum 'Th3 B2 C3'
_cell_length_a 3.7240
_cell_length_b 3.7907
_cell_length_c 9.2496
_cell_angle_alpha 90.00
_cell_angle_beta 99.83
_cell_angle_gamma 90.00
_space_group_name_H-M_alt 'P 1'
_space_group_IT_number 1
_space_group_name_Hall 'P 1'
loop_
_atom_site_label
_atom_site_type_symbol
_atom_site_fract_x
_atom_site_fract_y
_atom_site_fract_z
_atom_site_occupancy
Th1 Th 0.0000 0.0000 0.0000 1
Th2 Th 0.3772 0.5000 0.6978 1
Th3 Th 0.6228 0.5000 0.3022 1
B1 B 0.1450 0.0000 0.4406 1
B2 B 0.8550 0.0000 0.5594 1
C1 C 0.1159 0.0000 0.2758 1
C2 C 0.5000 0.5000 0.0000 1
C3 C 0.8841 0.0000 0.7242 1
```

Peak list (10 most intense, 10° ≤ 2θ ≤ 80°, in order of rising 2θ)
- 2θ 25.45, I 57
- 2θ 27.72, I 69
- 2θ 28.51, I 78
- 2θ 29.40, I 67
- 2θ 30.68, I 100
- 2θ 34.00, I 83
- 2θ 34.23, I 45
- 2θ 48.41, I 43
- 2θ 49.57, I 34
- 2θ 56.30, I 35

---

# 6
Starting from the GGA-PBE geometry in Alexandria, the powder diffraction line list of Ti8B2C3 was calculated for copper Kα.
No peak broadening, texture or thermal motion is included.

Structure:
```
data_Ti8B2C3
_chemical_formula_sum 'Ti8 B2 C3'
_cell_length_a 5.9261
_cell_length_b 5.9261
_cell_length_c 5.2704
_cell_angle_alpha 90.04
_cell_angle_beta 90.04
_cell_angle_gamma 64.84
_space_group_name_H-M_alt 'P 1'
_space_group_IT_number 1
_space_group_name_Hall 'P 1'
loop_
_atom_site_label
_atom_site_type_symbol
_atom_site_fract_x
_atom_site_fract_y
_atom_site_fract_z
_atom_site_occupancy
Ti1 Ti 0.1080 0.6404 0.1722 1
Ti2 Ti 0.1136 0.1136 0.3342 1
Ti3 Ti 0.3596 0.8920 0.8278 1
Ti4 Ti 0.3798 0.3798 0.6531 1
Ti5 Ti 0.6202 0.6202 0.3469 1
Ti6 Ti 0.6404 0.1080 0.1722 1
Ti7 Ti 0.8864 0.8864 0.6658 1
Ti8 Ti 0.8920 0.3596 0.8278 1
B1 B 0.2656 0.2656 0.0107 1
B2 B 0.7344 0.7344 0.9893 1
C1 C 0.0000 0.0000 0.0000 1
C2 C 0.2543 0.7457 0.5000 1
C3 C 0.7457 0.2543 0.5000 1
```

Peak list (10 most intense, 10° ≤ 2θ ≤ 80°, in order of rising 2θ)
- 2θ 32.92, I 14
- 2θ 35.90, I 30
- 2θ 37.63, I 100
- 2θ 38.62, I 48
- 2θ 49.50, I 21
- 2θ 50.30, I 10
- 2θ 60.19, I 18
- 2θ 65.68, I 16
- 2θ 71.92, I 12
- 2θ 72.11, I 13

---

# 7
Starting from the GGA-PBE geometry in Alexandria, the powder diffraction line list of Tm2BC3 was calculated for copper Kα.
No peak broadening, texture or thermal motion is included.

Structure:
```
data_Tm2BC3
_chemical_formula_sum 'Tm4 B2 C6'
_cell_length_a 6.6124
_cell_length_b 6.3517
_cell_length_c 5.0629
_cell_angle_alpha 69.76
_cell_angle_beta 64.32
_cell_angle_gamma 45.92
_space_group_name_H-M_alt 'P 1'
_space_group_IT_number 1
_space_group_name_Hall 'P 1'
loop_
_atom_site_label
_atom_site_type_symbol
_atom_site_fract_x
_atom_site_fract_y
_atom_site_fract_z
_atom_site_occupancy
Tm1 Tm 0.2129 0.7871 0.7871 1
Tm2 Tm 0.2500 0.2500 0.2500 1
Tm3 Tm 0.7500 0.7500 0.7500 1
Tm4 Tm 0.7871 0.2129 0.2129 1
B1 B 0.3398 0.3398 0.6602 1
B2 B 0.6602 0.6602 0.3398 1
C1 C 0.1987 0.1987 0.8013 1
C2 C 0.2624 0.6039 0.3961 1
C3 C 0.3961 0.7376 0.2624 1
C4 C 0.6039 0.2624 0.7376 1
C5 C 0.7376 0.3961 0.6039 1
C6 C 0.8013 0.8013 0.1987 1
```

Peak list (10 most intense, 10° ≤ 2θ ≤ 80°, in order of rising 2θ)
- 2θ 26.73, I 45
- 2θ 28.67, I 100
- 2θ 33.15, I 38
- 2θ 39.60, I 97
- 2θ 43.08, I 35
- 2θ 47.76, I 15
- 2θ 55.57, I 18
- 2θ 56.50, I 19
- 2θ 63.57, I 20
- 2θ 66.25, I 19

---

# 8
Starting from the GGA-PBE geometry in Alexandria, the powder diffraction line list of U4B3C5 was calculated for copper Kα.
No peak broadening, texture or thermal motion is included.

Structure:
```
data_U4B3C5
_chemical_formula_sum 'U4 B3 C5'
_cell_length_a 3.2301
_cell_length_b 3.6535
_cell_length_c 11.8376
_cell_angle_alpha 90.00
_cell_angle_beta 90.00
_cell_angle_gamma 90.00
_space_group_name_H-M_alt 'P 1'
_space_group_IT_number 1
_space_group_name_Hall 'P 1'
loop_
_atom_site_label
_atom_site_type_symbol
_atom_site_fract_x
_atom_site_fract_y
_atom_site_fract_z
_atom_site_occupancy
U1 U 0.0000 0.0000 0.0000 1
U2 U 0.0000 0.5000 0.4946 1
U3 U 0.5000 0.0000 0.7223 1
U4 U 0.5000 0.5000 0.2256 1
B1 B 0.0000 0.5000 0.8262 1
B2 B 0.5000 0.0000 0.3913 1
B3 B 0.5000 0.5000 0.8956 1
C1 C 0.0000 0.0000 0.2000 1
C2 C 0.0000 0.0000 0.3254 1
C3 C 0.0000 0.5000 0.6926 1
C4 C 0.5000 0.0000 0.5236 1
C5 C 0.5000 0.5000 0.0291 1
```

Peak list (10 most intense, 10° ≤ 2θ ≤ 80°, in order of rising 2θ)
- 2θ 25.52, I 67
- 2θ 30.20, I 59
- 2θ 31.55, I 100
- 2θ 33.42, I 68
- 2θ 37.95, I 92
- 2θ 43.89, I 30
- 2θ 54.20, I 44
- 2θ 54.50, I 22
- 2θ 60.28, I 51
- 2θ 67.73, I 19

---

# 9
Starting from the GGA-PBE geometry in Alexandria, the powder diffraction line list of V4BC2 was calculated for copper Kα.
No peak broadening, texture or thermal motion is included.

Structure:
```
data_V4BC2
_chemical_formula_sum 'V8 B2 C4'
_cell_length_a 4.9983
_cell_length_b 4.9983
_cell_length_c 9.8462
_cell_angle_alpha 90.00
_cell_angle_beta 90.00
_cell_angle_gamma 145.43
_space_group_name_H-M_alt 'P 1'
_space_group_IT_number 1
_space_group_name_Hall 'P 1'
loop_
_atom_site_label
_atom_site_type_symbol
_atom_site_fract_x
_atom_site_fract_y
_atom_site_fract_z
_atom_site_occupancy
V1 V 0.0000 0.0000 0.0000 1
V2 V 0.0000 0.0000 0.5000 1
V3 V 0.2698 0.7302 0.6173 1
V4 V 0.2698 0.7302 0.8827 1
V5 V 0.4460 0.5540 0.2500 1
V6 V 0.5540 0.4460 0.7500 1
V7 V 0.7302 0.2698 0.1173 1
V8 V 0.7302 0.2698 0.3827 1
B1 B 0.1059 0.8941 0.2500 1
B2 B 0.8941 0.1059 0.7500 1
C1 C 0.3632 0.6368 0.0641 1
C2 C 0.3632 0.6368 0.4359 1
C3 C 0.6368 0.3632 0.5641 1
C4 C 0.6368 0.3632 0.9359 1
```

Peak list (10 most intense, 10° ≤ 2θ ≤ 80°, in order of rising 2θ)
- 2θ 36.57, I 54
- 2θ 37.70, I 28
- 2θ 38.83, I 20
- 2θ 41.27, I 100
- 2θ 42.11, I 46
- 2θ 42.64, I 70
- 2θ 45.67, I 37
- 2θ 62.55, I 19
- 2θ 64.61, I 22
- 2θ 77.72, I 26

---

# 10
Starting from the GGA-PBE geometry in Alexandria, the powder diffraction line list of Y2B3C4 was calculated for copper Kα.
No peak broadening, texture or thermal motion is included.

Structure:
```
data_Y2B3C4
_chemical_formula_sum 'Y4 B6 C8'
_cell_length_a 6.2007
_cell_length_b 6.2007
_cell_length_c 7.4145
_cell_angle_alpha 90.00
_cell_angle_beta 90.00
_cell_angle_gamma 137.10
_space_group_name_H-M_alt 'P 1'
_space_group_IT_number 1
_space_group_name_Hall 'P 1'
loop_
_atom_site_label
_atom_site_type_symbol
_atom_site_fract_x
_atom_site_fract_y
_atom_site_fract_z
_atom_site_occupancy
Y1 Y 0.1259 0.8741 0.9190 1
Y2 Y 0.3741 0.6259 0.4190 1
Y3 Y 0.6259 0.3741 0.5810 1
Y4 Y 0.8741 0.1259 0.0810 1
B1 B 0.0000 0.0000 0.5000 1
B2 B 0.0625 0.4375 0.7500 1
B3 B 0.4375 0.0625 0.2500 1
B4 B 0.5000 0.5000 0.0000 1
B5 B 0.5625 0.9375 0.7500 1
B6 B 0.9375 0.5625 0.2500 1
C1 C 0.2044 0.2956 0.7500 1
C2 C 0.2408 0.7592 0.6596 1
C3 C 0.2592 0.7408 0.1596 1
C4 C 0.2956 0.2044 0.2500 1
C5 C 0.7044 0.7956 0.7500 1
C6 C 0.7408 0.2592 0.8404 1
C7 C 0.7592 0.2408 0.3404 1
C8 C 0.7956 0.7044 0.2500 1
```

Peak list (10 most intense, 10° ≤ 2θ ≤ 80°, in order of rising 2θ)
- 2θ 19.49, I 33
- 2θ 24.26, I 100
- 2θ 30.99, I 26
- 2θ 32.14, I 38
- 2θ 32.83, I 63
- 2θ 39.16, I 42
- 2θ 39.65, I 67
- 2θ 44.64, I 22
- 2θ 45.77, I 24
- 2θ 57.40, I 29

---

# 11
Starting from the GGA-PBE geometry in Alexandria, the powder diffraction line list of Ca3B11 was calculated for copper Kα.
No peak broadening, texture or thermal motion is included.

Structure:
```
data_Ca3B11
_chemical_formula_sum 'Ca3 B11'
_cell_length_a 7.9235
_cell_length_b 7.9235
_cell_length_c 7.9235
_cell_angle_alpha 136.52
_cell_angle_beta 50.00
_cell_angle_gamma 156.51
_space_group_name_H-M_alt 'P 1'
_space_group_IT_number 1
_space_group_name_Hall 'P 1'
loop_
_atom_site_label
_atom_site_type_symbol
_atom_site_fract_x
_atom_site_fract_y
_atom_site_fract_z
_atom_site_occupancy
Ca1 Ca 0.0000 0.0000 0.0000 1
Ca2 Ca 0.2149 0.9747 0.2402 1
Ca3 Ca 0.7345 0.9747 0.7598 1
B1 B 0.0658 0.2979 0.4564 1
B2 B 0.0658 0.6094 0.7679 1
B3 B 0.0685 0.5685 0.5000 1
B4 B 0.3548 0.2713 0.6918 1
B5 B 0.3548 0.6630 0.0835 1
B6 B 0.5695 0.2333 0.6638 1
B7 B 0.5695 0.9056 0.3362 1
B8 B 0.5795 0.2713 0.9165 1
B9 B 0.5795 0.6630 0.3082 1
B10 B 0.8415 0.2979 0.2321 1
B11 B 0.8415 0.6094 0.5436 1
```

Peak list (10 most intense, 10° ≤ 2θ ≤ 80°, in order of rising 2θ)
- 2θ 24.80, I 31
- 2θ 30.46, I 20
- 2θ 31.65, I 44
- 2θ 34.09, I 17
- 2θ 39.66, I 60
- 2θ 40.62, I 100
- 2θ 42.11, I 27
- 2θ 50.86, I 18
- 2θ 54.88, I 22
- 2θ 71.77, I 16

---

# 12
Starting from the GGA-PBE geometry in Alexandria, the powder diffraction line list of CaB7 was calculated for copper Kα.
No peak broadening, texture or thermal motion is included.

Structure:
```
data_CaB7
_chemical_formula_sum 'Ca2 B14'
_cell_length_a 6.6008
_cell_length_b 4.8520
_cell_length_c 4.8303
_cell_angle_alpha 90.00
_cell_angle_beta 107.39
_cell_angle_gamma 90.00
_space_group_name_H-M_alt 'P 1'
_space_group_IT_number 1
_space_group_name_Hall 'P 1'
loop_
_atom_site_label
_atom_site_type_symbol
_atom_site_fract_x
_atom_site_fract_y
_atom_site_fract_z
_atom_site_occupancy
Ca1 Ca 0.0000 0.0000 0.0000 1
Ca2 Ca 0.5000 0.5000 0.0000 1
B1 B 0.0000 0.5000 0.0000 1
B2 B 0.1430 0.3142 0.5736 1
B3 B 0.1430 0.6858 0.5736 1
B4 B 0.2106 0.5000 0.2952 1
B5 B 0.2894 0.0000 0.7048 1
B6 B 0.3570 0.1858 0.4264 1
B7 B 0.3570 0.8142 0.4264 1
B8 B 0.5000 0.0000 0.0000 1
B9 B 0.6430 0.1858 0.5736 1
B10 B 0.6430 0.8142 0.5736 1
B11 B 0.7106 0.0000 0.2952 1
B12 B 0.7894 0.5000 0.7048 1
B13 B 0.8570 0.3142 0.4264 1
B14 B 0.8570 0.6858 0.4264 1
```

Peak list (10 most intense, 10° ≤ 2θ ≤ 80°, in order of rising 2θ)
- 2θ 23.14, I 34
- 2θ 27.37, I 56
- 2θ 29.17, I 75
- 2θ 32.95, I 100
- 2θ 37.06, I 24
- 2θ 39.13, I 80
- 2θ 41.04, I 54
- 2θ 42.09, I 70
- 2θ 47.16, I 36
- 2θ 47.84, I 47